Record 1
For Cs2NaAuCl6, a cell relaxed with PBE gives the theoretical powder XRD pattern in this record (Cu Kα X-rays).
Peak positions follow from Bragg's law for the DFT cell and can differ from measured ones.

Main lines, by angle (2θ from 10° to 90°):
d_spacing, Position (°2θ), I_rel
6.183, 14.32, 44
3.786, 23.50, 100
3.229, 27.63, 22
3.092, 28.88, 16
2.677, 33.47, 59
2.186, 41.30, 46
1.893, 48.06, 40
1.693, 54.16, 22
1.431, 65.19, 25
1.197, 80.16, 17

Atomic structure:
```
Cs2NaAuCl6
1.0
0.000 5.355 5.355
5.355 0.000 5.355
5.355 5.355 0.000
Cs Na Au Cl
2 1 1 6
direct
0.250 0.250 0.250 Cs
0.750 0.750 0.750 Cs
0.000 0.000 0.000 Na
0.500 0.500 0.500 Au
0.263 0.263 0.737 Cl
0.263 0.737 0.263 Cl
0.263 0.737 0.737 Cl
0.737 0.263 0.263 Cl
0.737 0.263 0.737 Cl
0.737 0.737 0.263 Cl
```

---

Record 2
For Cs2SmAuCl6, a cell relaxed with PBE gives the theoretical powder XRD pattern in this record (Cu Kα X-rays).
Peak positions follow from Bragg's law for the DFT cell and can differ from measured ones.

Main lines, by angle (2θ from 10° to 90°):
d_spacing, Position (°2θ), I_rel
3.879, 22.93, 100
2.743, 32.65, 49
2.240, 40.27, 47
1.940, 46.84, 35
1.735, 52.77, 22
1.584, 58.26, 12
1.466, 63.44, 26
1.293, 73.20, 13
1.227, 77.87, 15
1.120, 87.01, 12

Atomic structure:
```
Cs2SmAuCl6
1.0
0.000 5.486 5.486
5.486 0.000 5.486
5.486 5.486 0.000
Cs Sm Au Cl
2 1 1 6
direct
0.250 0.250 0.250 Cs
0.750 0.750 0.750 Cs
0.000 0.000 0.000 Sm
0.500 0.500 0.500 Au
0.246 0.246 0.754 Cl
0.246 0.754 0.246 Cl
0.246 0.754 0.754 Cl
0.754 0.246 0.246 Cl
0.754 0.246 0.754 Cl
0.754 0.754 0.246 Cl
```

---

Record 3
For Cs2TbAuCl6, a cell relaxed with PBE gives the theoretical powder XRD pattern in this record (Cu Kα X-rays).
Peak positions follow from Bragg's law for the DFT cell and can differ from measured ones.

Main lines, by angle (2θ from 10° to 90°):
d_spacing, Position (°2θ), I_rel
3.851, 23.09, 100
2.723, 32.89, 49
2.224, 40.57, 47
1.926, 47.20, 34
1.722, 53.18, 22
1.572, 58.72, 12
1.456, 63.96, 25
1.284, 73.81, 13
1.218, 78.54, 15
1.112, 87.80, 12

Atomic structure:
```
Cs2TbAuCl6
1.0
0.000 5.446 5.446
5.446 0.000 5.446
5.446 5.446 0.000
Cs Tb Au Cl
2 1 1 6
direct
0.250 0.250 0.250 Cs
0.750 0.750 0.750 Cs
0.000 0.000 0.000 Tb
0.500 0.500 0.500 Au
0.244 0.244 0.756 Cl
0.244 0.756 0.244 Cl
0.244 0.756 0.756 Cl
0.756 0.244 0.244 Cl
0.756 0.244 0.756 Cl
0.756 0.756 0.244 Cl
```

---

Record 4
For Cs2TlAuCl6, a cell relaxed with PBE gives the theoretical powder XRD pattern in this record (Cu Kα X-rays).
Peak positions follow from Bragg's law for the DFT cell and can differ from measured ones.

Main lines, by angle (2θ from 10° to 90°):
d_spacing, Position (°2θ), I_rel
5.400, 16.41, 15
3.819, 23.29, 100
2.700, 33.18, 46
2.205, 40.94, 47
1.909, 47.63, 32
1.708, 53.67, 22
1.443, 64.57, 26
1.273, 74.55, 13
1.208, 79.35, 14
1.102, 88.75, 11

Atomic structure:
```
Cs2TlAuCl6
1.0
0.000 5.400 5.400
5.400 0.000 5.400
5.400 5.400 0.000
Cs Tl Au Cl
2 1 1 6
direct
0.250 0.250 0.250 Cs
0.750 0.750 0.750 Cs
0.000 0.000 0.000 Tl
0.500 0.500 0.500 Au
0.259 0.259 0.741 Cl
0.259 0.741 0.259 Cl
0.259 0.741 0.741 Cl
0.741 0.259 0.259 Cl
0.741 0.259 0.741 Cl
0.741 0.741 0.259 Cl
```

---

Record 5
For Rb2CuAuCl6, a cell relaxed with PBE gives the theoretical powder XRD pattern in this record (Cu Kα X-rays).
Peak positions follow from Bragg's law for the DFT cell and can differ from measured ones.

Main lines, by angle (2θ from 10° to 90°):
d_spacing, Position (°2θ), I_rel
5.800, 15.28, 20
5.023, 17.66, 24
3.552, 25.07, 100
3.029, 29.49, 17
2.511, 35.75, 63
2.051, 44.17, 45
1.776, 51.46, 42
1.588, 58.07, 21
1.342, 70.10, 24
1.123, 86.69, 19

Atomic structure:
```
Rb2CuAuCl6
1.0
0.000 5.023 5.023
5.023 0.000 5.023
5.023 5.023 0.000
Rb Cu Au Cl
2 1 1 6
direct
0.250 0.250 0.250 Rb
0.750 0.750 0.750 Rb
0.000 0.000 0.000 Cu
0.500 0.500 0.500 Au
0.243 0.243 0.757 Cl
0.243 0.757 0.243 Cl
0.243 0.757 0.757 Cl
0.757 0.243 0.243 Cl
0.757 0.243 0.757 Cl
0.757 0.757 0.243 Cl
```

---

Record 6
For K2DyAuCl6, a cell relaxed with PBE gives the theoretical powder XRD pattern in this record (Cu Kα X-rays).
Peak positions follow from Bragg's law for the DFT cell and can differ from measured ones.

Main lines, by angle (2θ from 10° to 90°):
d_spacing, Position (°2θ), I_rel
5.369, 16.51, 100
3.797, 23.43, 98
2.685, 33.38, 64
2.401, 37.45, 53
2.192, 41.18, 46
1.898, 47.92, 44
1.790, 51.03, 28
1.698, 54.01, 21
1.435, 64.99, 24
1.201, 79.90, 19

Atomic structure:
```
K2DyAuCl6
1.0
0.000 5.369 5.369
5.369 0.000 5.369
5.369 5.369 0.000
K Dy Au Cl
2 1 1 6
direct
0.250 0.250 0.250 K
0.750 0.750 0.750 K
0.000 0.000 0.000 Dy
0.500 0.500 0.500 Au
0.245 0.245 0.755 Cl
0.245 0.755 0.245 Cl
0.245 0.755 0.755 Cl
0.755 0.245 0.245 Cl
0.755 0.245 0.755 Cl
0.755 0.755 0.245 Cl
```

---

Record 7
For K2ErAuCl6, a cell relaxed with PBE gives the theoretical powder XRD pattern in this record (Cu Kα X-rays).
Peak positions follow from Bragg's law for the DFT cell and can differ from measured ones.

Main lines, by angle (2θ from 10° to 90°):
d_spacing, Position (°2θ), I_rel
5.347, 16.58, 100
3.781, 23.53, 98
2.673, 33.52, 63
2.391, 37.62, 53
2.183, 41.36, 46
1.890, 48.14, 43
1.782, 51.26, 28
1.691, 54.25, 21
1.429, 65.30, 24
1.196, 80.30, 18

Atomic structure:
```
K2ErAuCl6
1.0
0.000 5.347 5.347
5.347 0.000 5.347
5.347 5.347 0.000
K Er Au Cl
2 1 1 6
direct
0.250 0.250 0.250 K
0.750 0.750 0.750 K
0.000 0.000 0.000 Er
0.500 0.500 0.500 Au
0.244 0.244 0.756 Cl
0.244 0.756 0.244 Cl
0.244 0.756 0.756 Cl
0.756 0.244 0.244 Cl
0.756 0.244 0.756 Cl
0.756 0.756 0.244 Cl
```

---

Record 8
For Rb2ErAuCl6, a cell relaxed with PBE gives the theoretical powder XRD pattern in this record (Cu Kα X-rays).
Peak positions follow from Bragg's law for the DFT cell and can differ from measured ones.

Main lines, by angle (2θ from 10° to 90°):
d_spacing, Position (°2θ), I_rel
5.373, 16.50, 37
3.799, 23.42, 100
2.686, 33.35, 54
2.403, 37.43, 19
2.193, 41.16, 47
1.900, 47.89, 38
1.699, 53.97, 22
1.436, 64.94, 25
1.201, 79.84, 16
1.097, 89.33, 13

Atomic structure:
```
Rb2ErAuCl6
1.0
0.000 5.373 5.373
5.373 0.000 5.373
5.373 5.373 0.000
Rb Er Au Cl
2 1 1 6
direct
0.250 0.250 0.250 Rb
0.750 0.750 0.750 Rb
0.000 0.000 0.000 Er
0.500 0.500 0.500 Au
0.243 0.243 0.757 Cl
0.243 0.757 0.243 Cl
0.243 0.757 0.757 Cl
0.757 0.243 0.243 Cl
0.757 0.243 0.757 Cl
0.757 0.757 0.243 Cl
```

---

Record 9
For Rb2EuAuCl6, a cell relaxed with PBE gives the theoretical powder XRD pattern in this record (Cu Kα X-rays).
Peak positions follow from Bragg's law for the DFT cell and can differ from measured ones.

Main lines, by angle (2θ from 10° to 90°):
d_spacing, Position (°2θ), I_rel
5.418, 16.36, 35
3.831, 23.22, 100
2.709, 33.07, 56
2.423, 37.10, 19
2.212, 40.80, 48
1.916, 47.46, 39
1.713, 53.48, 22
1.448, 64.34, 25
1.211, 79.04, 17
1.106, 88.39, 13

Atomic structure:
```
Rb2EuAuCl6
1.0
0.000 5.418 5.418
5.418 0.000 5.418
5.418 5.418 0.000
Rb Eu Au Cl
2 1 1 6
direct
0.250 0.250 0.250 Rb
0.750 0.750 0.750 Rb
0.000 0.000 0.000 Eu
0.500 0.500 0.500 Au
0.253 0.253 0.747 Cl
0.253 0.747 0.253 Cl
0.253 0.747 0.747 Cl
0.747 0.253 0.253 Cl
0.747 0.253 0.747 Cl
0.747 0.747 0.253 Cl
```

---

Record 10
For K2GaAuCl6, a cell relaxed with PBE gives the theoretical powder XRD pattern in this record (Cu Kα X-rays).
Peak positions follow from Bragg's law for the DFT cell and can differ from measured ones.

Main lines, by angle (2θ from 10° to 90°):
d_spacing, Position (°2θ), I_rel
5.906, 15.00, 26
5.115, 17.34, 99
3.617, 24.62, 100
3.084, 28.95, 28
2.557, 35.09, 80
2.287, 39.39, 50
2.088, 43.33, 45
1.808, 50.47, 52
1.705, 53.77, 25
1.367, 68.66, 24

Atomic structure:
```
K2GaAuCl6
1.0
0.000 5.115 5.115
5.115 0.000 5.115
5.115 5.115 0.000
K Ga Au Cl
2 1 1 6
direct
0.250 0.250 0.250 K
0.750 0.750 0.750 K
0.000 0.000 0.000 Ga
0.500 0.500 0.500 Au
0.237 0.237 0.763 Cl
0.237 0.763 0.237 Cl
0.237 0.763 0.763 Cl
0.763 0.237 0.237 Cl
0.763 0.237 0.763 Cl
0.763 0.763 0.237 Cl
```

---

Record 11
For Rb2GaAuCl6, a cell relaxed with PBE gives the theoretical powder XRD pattern in this record (Cu Kα X-rays).
Peak positions follow from Bragg's law for the DFT cell and can differ from measured ones.

Main lines, by angle (2θ from 10° to 90°):
d_spacing, Position (°2θ), I_rel
5.944, 14.91, 15
5.147, 17.23, 25
3.640, 24.46, 100
3.104, 28.76, 16
2.574, 34.86, 62
2.101, 43.04, 45
1.820, 50.13, 42
1.628, 56.54, 22
1.376, 68.17, 25
1.151, 84.10, 18

Atomic structure:
```
Rb2GaAuCl6
1.0
0.000 5.147 5.147
5.147 0.000 5.147
5.147 5.147 0.000
Rb Ga Au Cl
2 1 1 6
direct
0.250 0.250 0.250 Rb
0.750 0.750 0.750 Rb
0.000 0.000 0.000 Ga
0.500 0.500 0.500 Au
0.236 0.236 0.764 Cl
0.236 0.764 0.236 Cl
0.236 0.764 0.764 Cl
0.764 0.236 0.236 Cl
0.764 0.236 0.764 Cl
0.764 0.764 0.236 Cl
```

---

Record 12
For KH2AuCl4O2, a cell relaxed with PBE gives the theoretical powder XRD pattern in this record (Cu Kα X-rays).
Peak positions follow from Bragg's law for the DFT cell and can differ from measured ones.

Main lines, by angle (2θ from 10° to 90°):
d_spacing, Position (°2θ), I_rel
7.477, 11.84, 100
6.153, 14.39, 69
5.260, 16.86, 32
3.972, 22.39, 19
3.700, 24.05, 33
3.337, 26.72, 57
3.316, 26.89, 41
3.171, 28.14, 34
2.432, 36.96, 41
2.363, 38.08, 39

Atomic structure:
```
KH2AuCl4O2
1.0
12.307 0.000 0.000
0.000 9.414 0.000
0.000 0.000 7.400
K H Au Cl O
4 8 4 16 8
direct
0.000 0.114 0.250 K
0.000 0.886 0.750 K
0.500 0.386 0.750 K
0.500 0.614 0.250 K
0.219 0.040 0.540 H
0.219 0.960 0.040 H
0.281 0.460 0.040 H
0.281 0.540 0.540 H
0.719 0.460 0.460 H
0.719 0.540 0.960 H
0.781 0.040 0.960 H
0.781 0.960 0.460 H
0.000 0.418 0.750 Au
0.000 0.582 0.250 Au
0.500 0.082 0.250 Au
0.500 0.918 0.750 Au
0.124 0.410 0.334 Cl
0.124 0.590 0.834 Cl
0.127 0.244 0.827 Cl
0.127 0.756 0.327 Cl
0.373 0.256 0.327 Cl
0.373 0.744 0.827 Cl
0.376 0.090 0.834 Cl
0.376 0.910 0.334 Cl
0.624 0.090 0.666 Cl
0.624 0.910 0.166 Cl
0.627 0.256 0.173 Cl
0.627 0.744 0.673 Cl
0.873 0.244 0.673 Cl
0.873 0.756 0.173 Cl
0.876 0.410 0.166 Cl
0.876 0.590 0.666 Cl
0.139 0.038 0.543 O
0.139 0.962 0.043 O
0.361 0.462 0.043 O
0.361 0.538 0.543 O
0.639 0.462 0.457 O
0.639 0.538 0.957 O
0.861 0.038 0.957 O
0.861 0.962 0.457 O
```